No. 1
Calculated powder X-ray diffraction pattern
Compound: Ca3SnS5
Radiation: Cu Ka
Structure: a cell relaxed with GGA-PBE

Structure:
Unit cell a=11.782 b=11.782 c=11.782 alpha=44.99 beta=44.99 gamma=44.99
Atoms (fractional coordinates):
1 Ca 0.002 0.499 0.499
2 Ca 0.270 0.700 0.700
3 Ca 0.300 0.300 0.729
4 Ca 0.300 0.729 0.300
5 Ca 0.499 0.002 0.499
6 Ca 0.499 0.499 0.002
7 Ca 0.700 0.270 0.700
8 Ca 0.700 0.700 0.270
9 Ca 0.729 0.300 0.300
10 Sn 0.213 0.213 0.213
11 Sn 0.781 0.781 0.781
12 Sn 0.991 0.991 0.991
13 S 0.096 0.660 0.660
14 S 0.136 0.136 0.136
15 S 0.164 0.164 0.730
16 S 0.164 0.730 0.164
17 S 0.385 0.385 0.964
18 S 0.385 0.964 0.385
19 S 0.386 0.386 0.386
20 S 0.502 0.502 0.502
21 S 0.615 0.615 0.615
22 S 0.660 0.096 0.660
23 S 0.660 0.660 0.096
24 S 0.706 0.706 0.706
25 S 0.730 0.164 0.164
26 S 0.914 0.914 0.914
27 S 0.964 0.385 0.385

Principal peaks in the range 10° ≤ 2θ ≤ 90°, in order of falling intensity:
d [Å]  intensity
2.254  100.0
4.508  71.8
3.502  65.1
3.875  61.8
4.923  56.4
3.524  54.8

No. 2
Calculated powder X-ray diffraction pattern
Compound: CaSn3S4
Radiation: Cu Ka
Structure: a cell relaxed with GGA-PBE

Structure:
Unit cell a=7.143 b=7.143 c=4.112 alpha=90.00 beta=90.00 gamma=109.33
Atoms (fractional coordinates):
1 Ca 0.000 0.000 0.000
2 Sn 0.000 0.500 0.500
3 Sn 0.500 0.000 0.500
4 Sn 0.500 0.500 0.000
5 S 0.243 0.243 0.500
6 S 0.247 0.753 0.000
7 S 0.753 0.247 0.000
8 S 0.757 0.757 0.500

Principal peaks in the range 10° ≤ 2θ ≤ 90°, in order of falling intensity:
d [Å]  intensity
2.914  100.0
2.060  60.6
3.365  47.3
1.303  22.1
1.759  12.9
1.756  12.8

No. 3
Calculated powder X-ray diffraction pattern
Compound: CaSn2S5
Radiation: Cu Ka
Structure: a cell relaxed with GGA-PBE

Structure:
Unit cell a=3.845 b=18.355 c=6.619 alpha=90.00 beta=90.00 gamma=90.00
Atoms (fractional coordinates):
1 Ca 0.250 0.250 0.055
2 Ca 0.750 0.750 0.945
3 Sn 0.250 0.632 0.473
4 Sn 0.250 0.868 0.473
5 Sn 0.750 0.132 0.527
6 Sn 0.750 0.368 0.527
7 S 0.250 0.071 0.684
8 S 0.250 0.429 0.684
9 S 0.250 0.645 0.824
10 S 0.250 0.750 0.280
11 S 0.250 0.855 0.824
12 S 0.750 0.145 0.176
13 S 0.750 0.250 0.720
14 S 0.750 0.355 0.176
15 S 0.750 0.571 0.316
16 S 0.750 0.929 0.316

Principal peaks in the range 10° ≤ 2θ ≤ 90°, in order of falling intensity:
d [Å]  intensity
3.768  100.0
6.619  72.6
3.272  48.9
4.589  45.1
2.655  44.4
2.321  29.5

No. 4
Calculated powder X-ray diffraction pattern
Compound: CaSnS3
Radiation: Cu Ka
Structure: a cell relaxed with GGA-PBE

Structure:
Unit cell a=6.537 b=6.956 c=10.642 alpha=90.00 beta=90.00 gamma=90.00
Atoms (fractional coordinates):
1 Ca 0.215 0.250 0.065
2 Ca 0.285 0.750 0.565
3 Ca 0.715 0.250 0.435
4 Ca 0.785 0.750 0.935
5 Sn 0.132 0.750 0.243
6 Sn 0.368 0.250 0.743
7 Sn 0.632 0.750 0.257
8 Sn 0.868 0.250 0.757
9 S 0.097 0.250 0.563
10 S 0.109 0.002 0.847
11 S 0.109 0.498 0.847
12 S 0.391 0.502 0.347
13 S 0.391 0.998 0.347
14 S 0.403 0.750 0.063
15 S 0.597 0.250 0.937
16 S 0.609 0.002 0.653
17 S 0.609 0.498 0.653
18 S 0.891 0.502 0.153
19 S 0.891 0.998 0.153
20 S 0.903 0.750 0.437

Principal peaks in the range 10° ≤ 2θ ≤ 90°, in order of falling intensity:
d [Å]  intensity
5.822  100.0
2.585  46.7
2.324  46.2
3.160  27.7
1.978  25.6
1.782  24.7

No. 5
Calculated powder X-ray diffraction pattern
Compound: CaSn2S5
Radiation: Cu Ka
Structure: a cell relaxed with GGA-PBE

Structure:
Unit cell a=6.965 b=7.197 c=9.125 alpha=104.35 beta=103.79 gamma=105.93
Atoms (fractional coordinates):
1 Ca 0.132 0.325 0.306
2 Ca 0.868 0.675 0.694
3 Sn 0.194 0.329 0.757
4 Sn 0.500 0.000 0.000
5 Sn 0.500 0.000 0.500
6 Sn 0.806 0.671 0.243
7 S 0.119 0.745 0.470
8 S 0.166 0.088 0.899
9 S 0.210 0.645 0.939
10 S 0.394 0.089 0.252
11 S 0.450 0.349 0.617
12 S 0.550 0.651 0.383
13 S 0.606 0.911 0.748
14 S 0.790 0.355 0.061
15 S 0.834 0.912 0.101
16 S 0.881 0.255 0.530

Principal peaks in the range 10° ≤ 2θ ≤ 90°, in order of falling intensity:
d [Å]  intensity
3.356  100.0
3.901  89.0
4.171  64.7
3.348  54.1
3.435  51.1
4.216  40.9

No. 6
Calculated powder X-ray diffraction pattern
Compound: CaSnS3
Radiation: Cu Ka
Structure: a cell relaxed with GGA-PBE

Structure:
Unit cell a=7.794 b=7.794 c=7.852 alpha=90.00 beta=90.00 gamma=150.22
Atoms (fractional coordinates):
1 Ca 0.201 0.799 0.750
2 Ca 0.799 0.201 0.250
3 Sn 0.500 0.500 0.000
4 Sn 0.500 0.500 0.500
5 S 0.009 0.991 0.750
6 S 0.339 0.661 0.004
7 S 0.339 0.661 0.496
8 S 0.661 0.339 0.504
9 S 0.661 0.339 0.996
10 S 0.991 0.009 0.250

Principal peaks in the range 10° ≤ 2θ ≤ 90°, in order of falling intensity:
d [Å]  intensity
2.756  100.0
7.532  50.9
2.052  47.6
3.871  35.0
3.479  26.5
2.511  24.2

No. 7
Calculated powder X-ray diffraction pattern
Compound: CaSnS3
Radiation: Cu Ka
Structure: a cell relaxed with GGA-PBE

Structure:
Unit cell a=6.956 b=6.956 c=6.956 alpha=89.99 beta=120.49 gamma=119.53
Atoms (fractional coordinates):
1 Ca 0.030 0.250 0.280
2 Ca 0.970 0.750 0.720
3 Sn 0.534 0.034 0.500
4 Sn 0.534 0.534 0.000
5 S 0.041 0.200 0.689
6 S 0.041 0.852 0.341
7 S 0.473 0.851 0.122
8 S 0.512 0.352 0.311
9 S 0.512 0.700 0.659
10 S 0.729 0.351 0.878

Principal peaks in the range 10° ≤ 2θ ≤ 90°, in order of falling intensity:
d [Å]  intensity
3.478  100.0
4.918  77.5
2.459  63.2
2.200  37.7
1.998  33.9
2.018  26.2

No. 8
Calculated powder X-ray diffraction pattern
Compound: Ca2SnS3
Radiation: Cu Ka
Structure: a cell relaxed with GGA-PBE

Structure:
Unit cell a=7.097 b=7.097 c=7.097 alpha=146.64 beta=132.10 gamma=59.62
Atoms (fractional coordinates):
1 Ca 0.165 0.165 0.000
2 Ca 0.835 0.835 0.000
3 Sn 0.500 0.500 0.000
4 S 0.000 0.500 0.500
5 S 0.328 0.828 0.500
6 S 0.672 0.172 0.500

Principal peaks in the range 10° ≤ 2θ ≤ 90°, in order of falling intensity:
d [Å]  intensity
2.892  100.0
2.040  87.1
2.881  49.6
5.218  23.8
1.289  22.6
1.672  21.2

No. 9
Calculated powder X-ray diffraction pattern
Compound: CaSn2S4
Radiation: Cu Ka
Structure: a cell relaxed with GGA-PBE

Structure:
Unit cell a=14.205 b=8.280 c=6.689 alpha=90.00 beta=90.00 gamma=90.00
Atoms (fractional coordinates):
1 Ca 0.228 0.250 0.010
2 Ca 0.272 0.750 0.510
3 Ca 0.728 0.250 0.490
4 Ca 0.772 0.750 0.990
5 Sn 0.000 0.000 0.500
6 Sn 0.000 0.500 0.500
7 Sn 0.097 0.750 0.084
8 Sn 0.403 0.250 0.584
9 Sn 0.500 0.000 0.000
10 Sn 0.500 0.500 0.000
11 Sn 0.597 0.750 0.416
12 Sn 0.903 0.250 0.916
13 S 0.062 0.250 0.779
14 S 0.098 0.750 0.725
15 S 0.173 0.524 0.251
16 S 0.173 0.976 0.251
17 S 0.327 0.024 0.751
18 S 0.327 0.476 0.751
19 S 0.402 0.250 0.225
20 S 0.438 0.750 0.279
21 S 0.562 0.250 0.721
22 S 0.598 0.750 0.775
23 S 0.673 0.524 0.249
24 S 0.673 0.976 0.249
25 S 0.827 0.024 0.749
26 S 0.827 0.476 0.749
27 S 0.902 0.250 0.275
28 S 0.938 0.750 0.221

Principal peaks in the range 10° ≤ 2θ ≤ 90°, in order of falling intensity:
d [Å]  intensity
3.417  100.0
5.391  45.8
7.103  39.3
3.502  39.0
2.443  38.4
3.865  38.1

No. 10
Calculated powder X-ray diffraction pattern
Compound: CaSn2S5
Radiation: Cu Ka
Structure: a cell relaxed with GGA-PBE

Structure:
Unit cell a=9.566 b=10.781 c=7.474 alpha=90.00 beta=90.00 gamma=90.00
Atoms (fractional coordinates):
1 Ca 0.124 0.171 0.000
2 Ca 0.376 0.671 0.000
3 Ca 0.624 0.329 0.000
4 Ca 0.876 0.829 0.000
5 Sn 0.000 0.500 0.237
6 Sn 0.000 0.500 0.763
7 Sn 0.109 0.852 0.500
8 Sn 0.391 0.352 0.500
9 Sn 0.500 0.000 0.237
10 Sn 0.500 0.000 0.763
11 Sn 0.609 0.648 0.500
12 Sn 0.891 0.148 0.500
13 S 0.000 0.000 0.274
14 S 0.000 0.000 0.726
15 S 0.123 0.711 0.229
16 S 0.123 0.711 0.771
17 S 0.136 0.394 0.500
18 S 0.178 0.436 0.000
19 S 0.322 0.936 0.000
20 S 0.364 0.894 0.500
21 S 0.377 0.211 0.229
22 S 0.377 0.211 0.771
23 S 0.500 0.500 0.274
24 S 0.500 0.500 0.726
25 S 0.623 0.789 0.229
26 S 0.623 0.789 0.771
27 S 0.636 0.106 0.500
28 S 0.678 0.064 0.000
29 S 0.822 0.564 0.000
30 S 0.864 0.606 0.500
31 S 0.877 0.289 0.229
32 S 0.877 0.289 0.771

Principal peaks in the range 10° ≤ 2θ ≤ 90°, in order of falling intensity:
d [Å]  intensity
2.186  100.0
2.012  71.3
3.312  67.0
3.774  64.1
3.976  62.5
2.584  55.3

No. 11
Calculated powder X-ray diffraction pattern
Compound: CaSn3S7
Radiation: Cu Ka
Structure: a cell relaxed with GGA-PBE

Structure:
Unit cell a=6.692 b=13.423 c=6.172 alpha=90.00 beta=90.00 gamma=90.00
Atoms (fractional coordinates):
1 Ca 0.250 0.250 0.153
2 Ca 0.750 0.750 0.847
3 Sn 0.250 0.004 0.666
4 Sn 0.250 0.496 0.666
5 Sn 0.250 0.750 0.349
6 Sn 0.750 0.250 0.651
7 Sn 0.750 0.504 0.334
8 Sn 0.750 0.996 0.334
9 S 0.004 0.127 0.465
10 S 0.004 0.373 0.465
11 S 0.250 0.045 0.036
12 S 0.250 0.455 0.036
13 S 0.250 0.750 0.971
14 S 0.496 0.127 0.465
15 S 0.496 0.373 0.465
16 S 0.504 0.627 0.535
17 S 0.504 0.873 0.535
18 S 0.750 0.250 0.029
19 S 0.750 0.545 0.964
20 S 0.750 0.955 0.964
21 S 0.996 0.627 0.535
22 S 0.996 0.873 0.535

Principal peaks in the range 10° ≤ 2θ ≤ 90°, in order of falling intensity:
d [Å]  intensity
3.759  100.0
2.370  50.5
3.350  44.4
2.005  38.2
2.586  37.7
6.172  31.0